[1]
Ba3TlPb2: theoretical powder diffractogram (Cu Kα X-rays), based on a PBE-relaxed structure.
Neutral-atom scattering factors, no anomalous dispersion.

Top 12 peaks for 2θ = 5–70°, in order of falling intensity:
index  2θ/deg  intensity
1 1 -3  26.71  100
2 0 2  30.65  70
1 0 -4  34.09  60
0 1 1  12.10  56
2 2 -2  27.40  55
3 1 -2  30.26  55
0 3 1  26.38  50
3 0 -2  29.07  45
2 1 2  31.78  42
1 3 1  29.21  38
0 2 0  16.46  35
3 2 1  37.62  32

Atomic structure:
```
data_Ba3TlPb2
_chemical_formula_sum 'Ba12 Tl4 Pb8'
_space_group_name_H-M_alt 'P 1 21/c 1'
_space_group_IT_number 14
_cell_length_a 9.6172
_cell_length_b 10.7726
_cell_length_c 10.5357
_cell_angle_alpha 90.00
_cell_angle_beta 109.02
_cell_angle_gamma 90.00
loop_
_space_group_symop_operation_xyz
'x,y,z'
'-x,-y,-z'
'-x,y+1/2,-z+1/2'
'x,-y+1/2,z+1/2'
loop_
_atom_site_label
_atom_site_type_symbol
_atom_site_fract_x
_atom_site_fract_y
_atom_site_fract_z
Ba1 Ba 0.1518 0.1784 0.3933
Ba2 Ba 0.2579 0.5941 0.6469
Ba3 Ba 0.2683 0.5344 0.2445
Tl1 Tl 0.4415 0.6438 0.9992
Pb1 Pb 0.0922 0.6743 0.8980
Pb2 Pb 0.4037 0.2206 0.1957
```

[2]
TbTmCo: theoretical powder diffractogram (Cu Kα X-rays), based on a PBE-relaxed structure.
Neutral-atom scattering factors, no anomalous dispersion.

Top 9 peaks for 2θ = 5–70°, in order of falling intensity:
index  2θ/deg  intensity
2 2 0  38.62  100
2 0 0  27.04  59
4 2 2  69.88  34
4 2 0  63.05  23
4 0 0  55.76  17
2 2 2  47.78  17
1 1 1  23.37  7
3 1 1  45.63  3
3 3 1  61.27  1

Atomic structure:
```
data_TbTmCo
_chemical_formula_sum 'Tb4 Tm4 Co4'
_space_group_name_H-M_alt 'F -4 3 m'
_space_group_IT_number 216
_space_group_name_Hall 'F -4 2 3'
_cell_length_a 6.5941
_cell_length_b 6.5941
_cell_length_c 6.5941
_cell_angle_alpha 90.00
_cell_angle_beta 90.00
_cell_angle_gamma 90.00
loop_
_atom_site_label
_atom_site_type_symbol
_atom_site_fract_x
_atom_site_fract_y
_atom_site_fract_z
Tb1 Tb 0.0000 0.0000 0.0000
Tm1 Tm 0.0000 0.0000 0.5000
Co1 Co 0.2500 0.2500 0.7500
```